# Zr4Sc2Cd3N3
Simulated powder diffractogram, Cu Ka. Input: a structure optimized by DFT (PBE).
Intensities are scaled so that the largest is 1000.

Principal peaks in the range 15 to 90 degrees two-theta, by angle:
- 23.7 deg, intensity 33, (0 0 4)
- 31.5 deg, intensity 199, (3 1 -1)
- 35.9 deg, intensity 207, (0 0 6)
- 36.4 deg, intensity 1000, (3 1 2)
- 48.5 deg, intensity 170, (3 1 5)
- 56.1 deg, intensity 197, (6 0 -2)
- 64.8 deg, intensity 170, (3 1 8)
- 68.4 deg, intensity 179, (6 0 4)
- 68.7 deg, intensity 143, (6 2 1)
- 77.2 deg, intensity 41, (0 4 6)

Structure:
```
data_Zr4Sc2Cd3N3
_space_group_name_H-M_alt 'C 1 2/c 1'
_space_group_IT_number 15
_cell_length_a 9.839
_cell_length_b 5.685
_cell_length_c 15.366
_cell_angle_alpha 90.00
_cell_angle_beta 102.34
_cell_angle_gamma 90.00
loop_
_space_group_symop_operation_xyz
'x,y,z'
'-x,-y,-z'
'-x,y,-z+1/2'
'x,-y,z+1/2'
'x+1/2,y+1/2,z'
'-x+1/2,-y+1/2,-z'
'-x+1/2,y+1/2,-z+1/2'
'x+1/2,-y+1/2,z+1/2'
loop_
_atom_site_label
_atom_site_type_symbol
_atom_site_fract_x
_atom_site_fract_y
_atom_site_fract_z
_atom_site_occupancy
Zr1 Zr 0.110 0.083 0.081 1
Zr2 Zr 0.223 0.084 0.419 1
Sc1 Sc 0.056 0.417 0.919 1
Cd1 Cd 0.000 0.082 0.750 1
Cd2 Cd 0.168 0.416 0.250 1
N1 N 0.082 0.254 0.500 1
N2 N 0.250 0.250 0.000 1
```

***

# Ta2CdN2
Simulated powder diffractogram, Cu Ka. Input: a structure optimized by DFT (PBE).
Intensities are scaled so that the largest is 1000.

Principal peaks in the range 15 to 90 degrees two-theta, by angle:
- 17.0 deg, intensity 261, (0 2 0)
- 29.1 deg, intensity 1000, (1 3 0)
- 29.4 deg, intensity 821, (1 2 1)
- 32.5 deg, intensity 303, (2 2 0)
- 35.0 deg, intensity 888, (2 1 1)
- 42.2 deg, intensity 520, (1 4 1)
- 42.8 deg, intensity 548, (3 1 0)
- 43.1 deg, intensity 404, (0 2 2)
- 61.8 deg, intensity 351, (3 5 0)
- 65.1 deg, intensity 434, (3 3 2)

Structure:
```
data_Ta2CdN2
_space_group_name_H-M_alt 'I b a m'
_space_group_IT_number 72
_space_group_name_Hall '-I 2 2c'
_cell_length_a 6.477
_cell_length_b 10.443
_cell_length_c 4.582
_cell_angle_alpha 90.00
_cell_angle_beta 90.00
_cell_angle_gamma 90.00
loop_
_atom_site_label
_atom_site_type_symbol
_atom_site_fract_x
_atom_site_fract_y
_atom_site_fract_z
_atom_site_occupancy
Ta1 Ta 0.156 0.179 0.000 1
Cd1 Cd 0.000 0.500 0.250 1
N1 N 0.155 0.166 0.500 1
```

***

# Ta4TlCdN2
Simulated powder diffractogram, Cu Ka. Input: a structure optimized by DFT (PBE).
Intensities are scaled so that the largest is 1000.

Principal peaks in the range 15 to 90 degrees two-theta, by angle:
- 32.8 deg, intensity 224, (1 0 0)
- 37.2 deg, intensity 219, (0 0 6)
- 37.8 deg, intensity 1000, (1 0 3)
- 50.4 deg, intensity 164, (1 0 6)
- 58.5 deg, intensity 196, (1 1 0)
- 67.5 deg, intensity 183, (1 0 9)
- 71.4 deg, intensity 200, (1 1 6)
- 71.8 deg, intensity 154, (2 0 3)
- 80.9 deg, intensity 42, (2 0 6)
- 88.5 deg, intensity 29, (1 0 12)

Structure:
```
data_Ta4TlCdN2
_space_group_name_H-M_alt 'P -6 m 2'
_space_group_IT_number 187
_space_group_name_Hall 'P -6 2'
_cell_length_a 3.1535
_cell_length_b 3.1535
_cell_length_c 14.4953
_cell_angle_alpha 90.00
_cell_angle_beta 90.00
_cell_angle_gamma 120.00
loop_
_atom_site_label
_atom_site_type_symbol
_atom_site_fract_x
_atom_site_fract_y
_atom_site_fract_z
_atom_site_occupancy
Ta1 Ta 0.0000 0.0000 0.1684 1
Ta2 Ta 0.6667 0.3333 0.3305 1
Tl1 Tl 0.0000 0.0000 0.5000 1
Cd1 Cd 0.6667 0.3333 0.0000 1
N1 N 0.3333 0.6667 0.2481 1
```